# 1
Starting from a DFT-relaxed cell (PBE, OQMD), the XRD peak list of K2TaAg2Se4 was simulated for λ = 1.5418 Å (Cu Kα).
Kinematic intensities with the Lorentz-polarization factor, no thermal factor.

Atomic structure:
Cell lengths 7.5602, 6.1291, 11.9381 Å; angles 90.00, 113.23, 90.00 degrees
Space group P2/c (No. 13)
Symmetry-distinct sites (fractional):
1 K 0.0000 0.0000 0.0000 (multiplicity 2)
2 K 0.0000 0.4852 0.2500 (multiplicity 2)
3 Ta 0.5000 0.2483 0.7500 (multiplicity 2)
4 Ag 0.4989 0.2496 0.0124 (multiplicity 4)
5 Se 0.2766 0.0198 0.8062 (multiplicity 4)
6 Se 0.2776 0.4792 0.5830 (multiplicity 4)

Peak list (12 most intense, 15° ≤ 2θ ≤ 90°, by angle)
(0 1 1), 16.6°, rel. 42; (1 1 -1), 18.9°, rel. 29; (1 1 2), 28.4°, rel. 100; (1 2 0), 31.9°, rel. 47; (2 0 -4), 32.7°, rel. 42; (2 2 0), 39.2°, rel. 54; (3 0 -4), 39.8°, rel. 57; (1 2 -4), 42.3°, rel. 66; (0 2 4), 44.3°, rel. 26; (3 2 0), 49.3°, rel. 29; (2 0 4), 49.8°, rel. 27; (3 2 4), 69.8°, rel. 24

# 2
Starting from a DFT-relaxed cell (PBE, OQMD), the XRD peak list of ErTmPbC was simulated for λ = 1.5418 Å (Cu Kα).
Kinematic intensities with the Lorentz-polarization factor, no thermal factor.

Atomic structure:
Cell lengths 3.5913, 3.5913, 15.8792 Å; angles 90.00, 90.00, 120.00 degrees
Space group P-6m2 (No. 187)
Symmetry-distinct sites (fractional):
1 Er 0.0000 0.0000 0.1678 (multiplicity 2)
2 Tm 0.3333 0.6667 0.3320 (multiplicity 2)
3 Pb 0.0000 0.0000 0.5000 (multiplicity 1)
4 Pb 0.3333 0.6667 0.0000 (multiplicity 1)
5 C 0.6667 0.3333 0.2505 (multiplicity 2)

Peak list (12 most intense, 15° ≤ 2θ ≤ 90°, by angle)
(1 0 0), 28.7°, rel. 23; (1 0 3), 33.4°, rel. 100; (0 0 6), 33.9°, rel. 21; (1 0 6), 45.0°, rel. 16; (1 1 0), 50.8°, rel. 21; (2 0 0), 59.4°, rel. 3; (1 0 9), 60.3°, rel. 19; (2 0 3), 62.2°, rel. 17; (1 1 6), 62.5°, rel. 22; (2 0 6), 70.2°, rel. 4; (2 0 9), 82.7°, rel. 8; (2 1 3), 84.4°, rel. 15

# 3
Starting from a DFT-relaxed cell (PBE, OQMD), the XRD peak list of CsTmCuSe3 was simulated for λ = 1.5418 Å (Cu Kα).
Kinematic intensities with the Lorentz-polarization factor, no thermal factor.

Atomic structure:
Cell lengths 9.6772, 4.0609, 10.1204 Å; angles 90.00, 113.25, 90.00 degrees
Space group P2_1/m (No. 11)
Symmetry-distinct sites (fractional):
1 Cs 0.2134 0.2500 0.2466 (multiplicity 2)
2 Tm 0.3283 0.7500 0.8575 (multiplicity 2)
3 Cu 0.0829 0.2500 0.6054 (multiplicity 2)
4 Se 0.1261 0.2500 0.8594 (multiplicity 2)
5 Se 0.1876 0.7500 0.5448 (multiplicity 2)
6 Se 0.4749 0.7500 0.1603 (multiplicity 2)

Peak list (12 most intense, 15° ≤ 2θ ≤ 90°, by angle)
(2 0 0), 20.0°, rel. 11; (2 0 -2), 21.5°, rel. 14; (2 1 -1), 28.8°, rel. 100; (2 1 0), 29.8°, rel. 33; (1 0 3), 34.2°, rel. 20; (1 1 -3), 34.6°, rel. 17; (3 1 -1), 35.6°, rel. 13; (2 1 -4), 42.4°, rel. 26; (0 2 0), 44.6°, rel. 21; (3 1 2), 48.0°, rel. 20; (3 1 -5), 51.7°, rel. 18; (1 2 3), 57.4°, rel. 13

# 4
Starting from a DFT-relaxed cell (PBE, OQMD), the XRD peak list of BaSn3Au was simulated for λ = 1.5418 Å (Cu Kα).
Kinematic intensities with the Lorentz-polarization factor, no thermal factor.

Atomic structure:
Cell lengths 5.0982, 5.0982, 11.2542 Å; angles 90.00, 90.00, 90.00 degrees
Space group I4mm (No. 107)
Symmetry-distinct sites (fractional):
1 Ba 0.0000 0.0000 0.0000 (multiplicity 2)
2 Sn 0.0000 0.0000 0.6008 (multiplicity 2)
3 Sn 0.0000 0.5000 0.2489 (multiplicity 4)
4 Au 0.0000 0.0000 0.3577 (multiplicity 2)

Peak list (12 most intense, 15° ≤ 2θ ≤ 90°, by angle)
(1 0 1), 19.1°, rel. 27; (1 1 0), 24.7°, rel. 22; (1 1 2), 29.4°, rel. 94; (1 0 3), 29.6°, rel. 80; (2 0 0), 35.2°, rel. 100; (1 1 4), 40.7°, rel. 50; (1 0 5), 44.0°, rel. 28; (2 1 3), 46.6°, rel. 46; (2 2 0), 50.6°, rel. 36; (2 1 5), 57.5°, rel. 26; (3 1 2), 59.7°, rel. 37; (3 1 4), 66.9°, rel. 24

# 5
Starting from a DFT-relaxed cell (PBE, OQMD), the XRD peak list of TmZn2O4 was simulated for λ = 1.5418 Å (Cu Kα).
Kinematic intensities with the Lorentz-polarization factor, no thermal factor.

Atomic structure:
Cell lengths 8.7973, 8.7973, 8.7973 Å; angles 90.00, 90.00, 90.00 degrees
Space group Fd-3m (No. 227, origin choice 2)
Symmetry-distinct sites (fractional):
1 Tm 0.1250 0.1250 0.1250 (multiplicity 8)
2 Zn 0.0000 0.0000 0.5000 (multiplicity 16)
3 O 0.0124 0.0124 0.7376 (multiplicity 32)

Peak list (12 most intense, 15° ≤ 2θ ≤ 90°, by angle)
(1 1 1), 17.5°, rel. 7; (2 2 0), 28.7°, rel. 62; (3 1 1), 33.8°, rel. 100; (2 2 2), 35.3°, rel. 5; (4 2 2), 50.8°, rel. 25; (5 1 1), 54.2°, rel. 38; (4 4 0), 59.4°, rel. 35; (6 2 0), 67.3°, rel. 11; (5 3 3), 70.1°, rel. 12; (6 4 2), 82.0°, rel. 13; (5 5 3), 84.6°, rel. 21; (8 0 0), 89.0°, rel. 5

# 6
Starting from a DFT-relaxed cell (PBE, OQMD), the XRD peak list of NaPdAu3O4 was simulated for λ = 1.5418 Å (Cu Kα).
Kinematic intensities with the Lorentz-polarization factor, no thermal factor.

Atomic structure:
Cell lengths 5.2669, 5.2669, 5.2669 Å; angles 90.00, 90.00, 90.00 degrees
Space group P-43m (No. 215)
Symmetry-distinct sites (fractional):
1 Na 0.0000 0.0000 0.0000 (multiplicity 1)
2 Pd 0.5000 0.5000 0.5000 (multiplicity 1)
3 Au 0.0000 0.5000 0.5000 (multiplicity 3)
4 O 0.2394 0.2394 0.2394 (multiplicity 4)

Peak list (12 most intense, 15° ≤ 2θ ≤ 90°, by angle)
(1 0 0), 16.8°, rel. 82; (1 1 1), 29.4°, rel. 100; (2 0 0), 34.0°, rel. 85; (2 1 0), 38.2°, rel. 47; (2 2 0), 48.9°, rel. 87; (3 0 0), 52.1°, rel. 23; (3 1 1), 58.1°, rel. 45; (2 2 2), 60.9°, rel. 22; (4 0 0), 71.7°, rel. 14; (3 2 2), 74.2°, rel. 14; (3 3 1), 79.3°, rel. 19; (4 2 0), 81.8°, rel. 30

# 7
Starting from a DFT-relaxed cell (PBE, OQMD), the XRD peak list of YHo2Fe3Co6 was simulated for λ = 1.5418 Å (Cu Kα).
Kinematic intensities with the Lorentz-polarization factor, no thermal factor.

Atomic structure:
Cell lengths 5.0636, 5.0636, 23.5768 Å; angles 90.00, 90.00, 120.00 degrees
Space group R-3m (No. 166, hexagonal axes)
Symmetry-distinct sites (fractional):
1 Y 0.0000 0.0000 0.0000 (multiplicity 3)
2 Ho 0.0000 0.0000 0.1409 (multiplicity 6)
3 Fe 0.0000 0.0000 0.3333 (multiplicity 6)
4 Fe 0.0000 0.0000 0.5000 (multiplicity 3)
5 Co 0.0010 0.5005 0.9181 (multiplicity 18)

Peak list (12 most intense, 15° ≤ 2θ ≤ 90°, by angle)
(1 0 7), 33.5°, rel. 49; (1 1 0), 35.5°, rel. 56; (0 1 8), 36.7°, rel. 34; (0 2 1), 41.4°, rel. 41; (1 1 6), 42.5°, rel. 100; (0 2 4), 44.1°, rel. 20; (2 0 5), 45.6°, rel. 23; (0 1 11), 47.2°, rel. 21; (2 1 7), 62.4°, rel. 16; (3 0 6), 68.5°, rel. 23; (2 0 14), 70.5°, rel. 22; (2 2 0), 75.0°, rel. 24

# 8
Starting from a DFT-relaxed cell (PBE, OQMD), the XRD peak list of Pa2Ga5Ni5 was simulated for λ = 1.5418 Å (Cu Kα).
Kinematic intensities with the Lorentz-polarization factor, no thermal factor.

Atomic structure:
Cell lengths 4.1313, 5.1068, 8.7179 Å; angles 90.00, 90.00, 90.00 degrees
Space group Pmmm (No. 47)
Symmetry-distinct sites (fractional):
1 Pa 0.0000 0.0000 0.0000 (multiplicity 1)
2 Pa 0.0000 0.5000 0.5000 (multiplicity 1)
3 Ga 0.5000 0.0000 0.5000 (multiplicity 1)
4 Ga 0.5000 0.2501 0.2371 (multiplicity 4)
5 Ni 0.0000 0.0000 0.3367 (multiplicity 2)
6 Ni 0.0000 0.5000 0.1710 (multiplicity 2)
7 Ni 0.5000 0.5000 0.0000 (multiplicity 1)

Peak list (12 most intense, 15° ≤ 2θ ≤ 90°, by angle)
(1 1 1), 29.6°, rel. 74; (1 0 2), 29.8°, rel. 38; (0 2 0), 35.1°, rel. 18; (0 1 3), 35.5°, rel. 36; (0 2 2), 41.0°, rel. 42; (0 0 4), 41.4°, rel. 20; (1 2 0), 41.6°, rel. 53; (1 1 3), 41.9°, rel. 100; (2 0 0), 43.8°, rel. 40; (2 1 3), 57.6°, rel. 18; (2 2 2), 61.5°, rel. 25; (1 3 3), 67.7°, rel. 24